The following is a calculated powder XRD pattern of KErAuS2. It was derived from a PBE-relaxed structure, using Cu Ka.

Largest 6 diffraction maxima, low angle first, 10 to 80 degrees two-theta:
12.30°, I = 100
24.75°, I = 22
29.88°, I = 22
30.83°, I = 32
33.95°, I = 30
36.45°, I = 20

Cell and atoms:
a b c (Å): 7.2949 4.9743 7.5889
angles (deg): 90.00 99.51 90.00
Space group P2/c (No. 13)
Symmetry-distinct sites (fractional):
1 K 0.0000 0.1376 0.2500 x2
2 Er 0.5000 0.4933 0.7500 x2
3 Au 0.5000 0.0000 0.0000 x2
4 S 0.2565 0.3531 0.9635 x4

=====

The following is a calculated powder XRD pattern of KEr2Te4Au. It was derived from a PBE-relaxed structure, using Cu Ka.

Largest 6 diffraction maxima, low angle first, 10 to 80 degrees two-theta:
13.10°, I = 90
27.65°, I = 32
29.39°, I = 100
32.10°, I = 26
40.33°, I = 63
41.13°, I = 31

Cell and atoms:
a b c (Å): 4.3895 14.9795 15.6785
angles (deg): 90.00 90.00 90.00
Space group Cmcm (No. 63)
Symmetry-distinct sites (fractional):
1 K 0.0000 0.1325 0.2500 x4
2 Er 0.0000 0.3706 0.0732 x8
3 Te 0.0000 0.0000 0.0000 x4
4 Te 0.0000 0.2660 0.6046 x8
5 Te 0.0000 0.4558 0.2500 x4
6 Au 0.0000 0.1563 0.7500 x4

=====

The following is a calculated powder XRD pattern of LaEr2Au4. It was derived from a PBE-relaxed structure, using Cu Ka.

Largest 6 diffraction maxima, low angle first, 10 to 80 degrees two-theta:
35.34°, I = 53
36.01°, I = 100
50.84°, I = 19
63.87°, I = 38
65.17°, I = 17
76.37°, I = 11

Cell and atoms:
a b c (Å): 5.0802 5.0802 6.9312
angles (deg): 90.00 90.00 90.00
Space group P4/mmm (No. 123)
Symmetry-distinct sites (fractional):
1 La 0.0000 0.0000 0.0000 x1
2 Er 0.0000 0.0000 0.5000 x1
3 Er 0.5000 0.5000 0.0000 x1
4 Au 0.0000 0.5000 0.2630 x4

=====

The following is a calculated powder XRD pattern of La2ErAu3. It was derived from a PBE-relaxed structure, using Cu Ka.

Largest 6 diffraction maxima, low angle first, 10 to 80 degrees two-theta:
33.49°, I = 24
34.27°, I = 100
34.64°, I = 25
48.95°, I = 16
60.37°, I = 14
61.85°, I = 28

Cell and atoms:
a b c (Å): 5.1794 16.0537 3.6797
angles (deg): 90.00 90.00 90.00
Space group Pmmn (No. 59, origin choice 2)
Symmetry-distinct sites (fractional):
1 La 0.2500 0.0808 0.0147 x4
2 Er 0.2500 0.7500 0.9882 x2
3 Au 0.2500 0.2500 0.5083 x2
4 Au 0.2500 0.6004 0.4862 x4